# Pa2MnNbN6
Theoretical PXRD pattern, Cu Kα (weighted mean of Kα1 and Kα2). Input: a DFT-relaxed cell (GGA-PBE, Alexandria).
Kinematic intensities with the Lorentz-polarization factor, no thermal factor.

Most intense lines, 2θ = 10–90°, low angle first:
2θ (°)  d_spacing  intensity
18.37  4.831  29
23.82  3.736  19
30.24  2.955  100
33.94  2.642  37
44.68  2.028  19
51.25  1.783  23
58.45  1.579  32
62.87  1.478  19

Crystal structure
Unit cell a=5.283 b=5.283 c=4.831 alpha=90.00 beta=90.00 gamma=90.00
Space group P4mm (No. 99)
Unique sites:
Pa (0.000, 0.500, 0.000) (multiplicity 2)
Mn (0.000, 0.000, 0.597) (multiplicity 1)
Nb (0.500, 0.500, 0.577) (multiplicity 1)
N (0.000, 0.000, 0.209) (multiplicity 1)
N (0.246, 0.246, 0.736) (multiplicity 4)
N (0.500, 0.500, 0.181) (multiplicity 1)

# PaMnNb2N4
Theoretical PXRD pattern, Cu Kα (weighted mean of Kα1 and Kα2). Input: a DFT-relaxed cell (GGA-PBE, Alexandria).
Kinematic intensities with the Lorentz-polarization factor, no thermal factor.

Most intense lines, 2θ = 10–90°, low angle first:
2θ (°)  d_spacing  intensity
16.33  5.428  33
29.71  3.007  93
33.15  2.702  52
33.97  2.639  100
38.91  2.315  61
41.59  2.171  60
54.19  1.693  35
57.60  1.600  35

Crystal structure
Unit cell a=3.145 b=10.810 c=10.857 alpha=90.00 beta=90.00 gamma=90.00
Space group Cmcm (No. 63)
Unique sites:
Pa (0.000, 0.106, 0.250) (multiplicity 4)
Mn (0.000, 0.156, 0.750) (multiplicity 4)
Nb (0.000, 0.366, 0.057) (multiplicity 8)
N (0.000, 0.000, 0.000) (multiplicity 4)
N (0.000, 0.277, 0.620) (multiplicity 8)
N (0.000, 0.446, 0.250) (multiplicity 4)

# TbMnNb2N4
Theoretical PXRD pattern, Cu Kα (weighted mean of Kα1 and Kα2). Input: a DFT-relaxed cell (GGA-PBE, Alexandria).
Kinematic intensities with the Lorentz-polarization factor, no thermal factor.

Most intense lines, 2θ = 10–90°, low angle first:
2θ (°)  d_spacing  intensity
29.65  3.013  95
32.95  2.718  95
34.36  2.610  100
39.16  2.301  54
41.82  2.160  81
57.75  1.597  37
68.10  1.377  34
69.95  1.345  30

Crystal structure
Unit cell a=3.094 b=10.881 c=10.857 alpha=90.00 beta=90.00 gamma=90.00
Space group Cmcm (No. 63)
Unique sites:
Tb (0.000, 0.111, 0.250) (multiplicity 4)
Mn (0.000, 0.155, 0.750) (multiplicity 4)
Nb (0.000, 0.369, 0.057) (multiplicity 8)
N (0.000, 0.000, 0.000) (multiplicity 4)
N (0.000, 0.273, 0.616) (multiplicity 8)
N (0.000, 0.452, 0.250) (multiplicity 4)

# TiMn2NbN
Theoretical PXRD pattern, Cu Kα (weighted mean of Kα1 and Kα2). Input: a DFT-relaxed cell (GGA-PBE, Alexandria).
Kinematic intensities with the Lorentz-polarization factor, no thermal factor.

Most intense lines, 2θ = 10–90°, low angle first:
2θ (°)  d_spacing  intensity
31.32  2.856  92
37.57  2.394  100
41.13  2.194  91
48.40  1.881  27
52.59  1.740  41
59.58  1.552  28
65.35  1.428  41
72.61  1.302  25

Crystal structure
Unit cell a=4.389 b=4.389 c=3.761 alpha=90.00 beta=90.00 gamma=90.00
Space group P4/mmm (No. 123)
Unique sites:
Ti (0.000, 0.000, 0.000) (multiplicity 1)
Mn (0.000, 0.500, 0.000) (multiplicity 2)
Nb (0.500, 0.500, 0.500) (multiplicity 1)
N (0.000, 0.000, 0.500) (multiplicity 1)

# Tb2NdMnN4
Theoretical PXRD pattern, Cu Kα (weighted mean of Kα1 and Kα2). Input: a DFT-relaxed cell (GGA-PBE, Alexandria).
Kinematic intensities with the Lorentz-polarization factor, no thermal factor.

Most intense lines, 2θ = 10–90°, low angle first:
2θ (°)  d_spacing  intensity
27.78  3.211  70
30.83  2.900  33
31.04  2.881  51
31.32  2.856  100
35.96  2.497  47
38.49  2.339  66
53.30  1.719  38
53.50  1.713  36

Crystal structure
Unit cell a=3.423 b=11.525 c=11.602 alpha=90.00 beta=90.00 gamma=90.00
Space group Cmcm (No. 63)
Unique sites:
Tb (0.000, 0.132, 0.045) (multiplicity 8)
Nd (0.000, 0.401, 0.250) (multiplicity 4)
Mn (0.000, 0.335, 0.750) (multiplicity 4)
N (0.000, 0.081, 0.250) (multiplicity 4)
N (0.000, 0.234, 0.630) (multiplicity 8)
N (0.000, 0.500, 0.000) (multiplicity 4)

# NdTh2MnN5
Theoretical PXRD pattern, Cu Kα (weighted mean of Kα1 and Kα2). Input: a DFT-relaxed cell (GGA-PBE, Alexandria).
Kinematic intensities with the Lorentz-polarization factor, no thermal factor.

Most intense lines, 2θ = 10–90°, low angle first:
2θ (°)  d_spacing  intensity
15.67  5.655  35
30.59  2.923  87
30.80  2.903  100
31.64  2.827  43
38.14  2.360  72
42.24  2.139  23
50.37  1.812  28
56.68  1.624  25

Crystal structure
Unit cell a=6.766 b=6.766 c=11.310 alpha=90.00 beta=90.00 gamma=90.00
Space group I4/mcm (No. 140)
Unique sites:
Nd (0.000, 0.000, 0.250) (multiplicity 4)
Th (0.176, 0.324, 0.000) (multiplicity 8)
Mn (0.000, 0.500, 0.250) (multiplicity 4)
N (0.000, 0.000, 0.000) (multiplicity 4)
N (0.142, 0.358, 0.356) (multiplicity 16)

# Mn2NiN2
Theoretical PXRD pattern, Cu Kα (weighted mean of Kα1 and Kα2). Input: a DFT-relaxed cell (GGA-PBE, Alexandria).
Kinematic intensities with the Lorentz-polarization factor, no thermal factor.

Most intense lines, 2θ = 10–90°, low angle first:
2θ (°)  d_spacing  intensity
39.19  2.299  100
44.93  2.018  60
46.82  1.940  25
65.42  1.427  17
66.90  1.399  30
78.98  1.212  23
81.74  1.178  10
84.24  1.149  15

Crystal structure
Unit cell a=2.853 b=2.853 c=11.642 alpha=90.00 beta=90.00 gamma=90.00
Space group I4/mmm (No. 139)
Unique sites:
Mn (0.000, 0.000, 0.159) (multiplicity 4)
Ni (0.000, 0.000, 0.500) (multiplicity 2)
N (0.000, 0.000, 0.340) (multiplicity 4)

# Mn10NiN8
Theoretical PXRD pattern, Cu Kα (weighted mean of Kα1 and Kα2). Input: a DFT-relaxed cell (GGA-PBE, Alexandria).
Kinematic intensities with the Lorentz-polarization factor, no thermal factor.

Most intense lines, 2θ = 10–90°, low angle first:
2θ (°)  d_spacing  intensity
38.27  2.352  100
38.50  2.338  96
43.71  2.071  57
44.75  2.025  64
45.38  1.999  57
64.34  1.448  32
64.52  1.444  15
65.63  1.422  33

Crystal structure
Unit cell a=14.517 b=4.050 c=6.543 alpha=90.00 beta=106.52 gamma=90.00
Space group C2/m (No. 12)
Unique sites:
Mn (0.041, 0.000, 0.225) (multiplicity 4)
Mn (0.096, 0.500, 0.959) (multiplicity 4)
Mn (0.147, 0.000, 0.708) (multiplicity 4)
Mn (0.175, 0.500, 0.427) (multiplicity 4)
Mn (0.217, 0.000, 0.174) (multiplicity 4)
Ni (0.000, 0.500, 0.500) (multiplicity 2)
N (0.045, 0.500, 0.235) (multiplicity 4)
N (0.097, 0.000, 0.957) (multiplicity 4)
N (0.146, 0.500, 0.710) (multiplicity 4)
N (0.177, 0.000, 0.428) (multiplicity 4)